[1]
Computed X-ray powder pattern of SmCd4Pd2 for Cu Kα (λ = 1.5418 Å), from a structure optimized by DFT (PBE).
Kinematic intensities with the Lorentz-polarization factor, no thermal factor.

Largest 12 diffraction maxima, most intense first, 2θ from 15° to 90°:
d 2.833, 31.6 deg, rel. 100; d 2.445, 36.8 deg, rel. 94; d 2.261, 39.9 deg, rel. 41; d 2.161, 41.8 deg, rel. 40; d 2.653, 33.8 deg, rel. 36; d 2.034, 44.5 deg, rel. 31; d 1.482, 62.7 deg, rel. 28; d 1.201, 79.8 deg, rel. 21; d 1.676, 54.8 deg, rel. 19; d 1.564, 59.1 deg, rel. 16; d 2.348, 38.3 deg, rel. 13; d 1.309, 72.1 deg, rel. 12

Structural model:
```
SmCd4Pd2
1.0
8.3885 0.0000 0.0000
0.0000 8.3885 0.0000
0.0000 0.0000 4.3223
Sm Cd Pd
2 8 4
Cartesian
0.0000 0.0000 0.0000
4.1942 4.1942 2.1612
0.8539 2.8980 2.1612
1.2962 5.0482 0.0000
2.8980 0.8539 2.1612
3.3403 7.0923 0.0000
5.0482 1.2962 0.0000
5.4904 7.5346 2.1612
7.0923 3.3403 0.0000
7.5346 5.4904 2.1612
1.5492 6.8393 2.1612
2.6450 2.6450 0.0000
5.7435 5.7435 0.0000
6.8393 1.5492 2.1612
```

***

[2]
Computed X-ray powder pattern of SrLiC for Cu Kα (λ = 1.5418 Å), from a structure optimized by DFT (PBE).
Kinematic intensities with the Lorentz-polarization factor, no thermal factor.

Largest 12 diffraction maxima, most intense first, 2θ from 15° to 90°:
d 2.726, 32.9 deg, rel. 100; d 3.953, 22.5 deg, rel. 58; d 3.082, 29.0 deg, rel. 54; d 4.923, 18.0 deg, rel. 53; d 3.274, 27.2 deg, rel. 53; d 1.952, 46.5 deg, rel. 27; d 2.126, 42.5 deg, rel. 22; d 1.967, 46.1 deg, rel. 18; d 2.461, 36.5 deg, rel. 17; d 2.089, 43.3 deg, rel. 14; d 1.553, 59.5 deg, rel. 14; d 1.609, 57.3 deg, rel. 13

Structural model:
```
SrLiC
1.0
-1.7986 3.9531 4.9225
1.7986 -3.9531 4.9225
1.7986 3.9531 -4.9225
Sr Li C
2 2 2
Cartesian
0.0000 0.0000 2.2446
0.0000 0.0000 7.6005
0.0000 2.2395 0.0000
0.0000 5.6667 0.0000
1.7986 0.6487 0.0000
0.0000 3.3044 4.9225
```